Entry 1:
Diffraction record for Sm12Ag6Ru. The powder XRD pattern is computed, not measured: it uses a GGA-PBE-relaxed structure and copper Kα.
Peak positions follow from Bragg's law for the DFT cell and can differ from measured ones.

Principal peaks in the range 10° ≤ 2θ ≤ 80°, low angle first:
two_theta  d [Å]  intensity  (hkl)
27.9  3.200  51  1 0 4
31.9  2.805  100  1 3 1
34.0  2.639  46  3 1 2
35.2  2.550  33  3 -1 4
36.1  2.486  73  2 2 3
40.7  2.217  22  3 -2 5

```
data_Sm12Ag6Ru
_space_group_name_H-M_alt 'R -3'
_space_group_IT_number 148
_space_group_name_Hall '-R 3'
_cell_length_a 11.9425
_cell_length_b 11.9425
_cell_length_c 13.4596
_cell_angle_alpha 90.00
_cell_angle_beta 90.00
_cell_angle_gamma 120.00
loop_
_atom_site_label
_atom_site_type_symbol
_atom_site_fract_x
_atom_site_fract_y
_atom_site_fract_z
Sm1 Sm 0.0334 0.1915 0.3722
Sm2 Sm 0.0445 0.8492 0.8916
Ag1 Ag 0.0019 0.4016 0.2387
Ru1 Ru 0.0000 0.0000 0.5000
```

Entry 2:
Diffraction record for Ta2AgRu. The powder XRD pattern is computed, not measured: it uses a GGA-PBE-relaxed structure and copper Kα.
Peak positions follow from Bragg's law for the DFT cell and can differ from measured ones.

Principal peaks in the range 10° ≤ 2θ ≤ 80°, low angle first:
two_theta  d [Å]  intensity  (hkl)
38.8  2.322  26  0 2 0
39.2  2.297  100  1 1 2
39.4  2.286  23  0 0 4
56.5  1.629  16  0 2 4
70.5  1.336  18  1 3 2
71.4  1.322  23  2 0 4

```
data_Ta2AgRu
_space_group_name_H-M_alt 'C m m 2'
_space_group_IT_number 35
_cell_length_a 3.238
_cell_length_b 4.644
_cell_length_c 9.144
_cell_angle_alpha 90.00
_cell_angle_beta 90.00
_cell_angle_gamma 90.00
loop_
_space_group_symop_operation_xyz
'x,y,z'
'-x,-y,z'
'-x,y,z'
'x,-y,z'
'x+1/2,y+1/2,z'
'-x+1/2,-y+1/2,z'
'-x+1/2,y+1/2,z'
'x+1/2,-y+1/2,z'
loop_
_atom_site_label
_atom_site_type_symbol
_atom_site_fract_x
_atom_site_fract_y
_atom_site_fract_z
Ta1 Ta 0.000 0.000 0.000
Ta2 Ta 0.000 0.500 0.258
Ag1 Ag 0.000 0.000 0.520
Ru1 Ru 0.000 0.500 0.778
```

Entry 3:
Diffraction record for TaAg2Ru. The powder XRD pattern is computed, not measured: it uses a GGA-PBE-relaxed structure and copper Kα.
Peak positions follow from Bragg's law for the DFT cell and can differ from measured ones.

Principal peaks in the range 10° ≤ 2θ ≤ 80°, low angle first:
two_theta  d [Å]  intensity  (hkl)
38.5  2.340  100  1 1 2
41.6  2.173  21  0 2 0
44.7  2.027  15  0 0 4
47.7  1.906  14  2 0 0
65.1  1.433  11  2 2 0
73.8  1.284  14  1 3 2

```
data_TaAg2Ru
_space_group_name_H-M_alt 'I m m 2'
_space_group_IT_number 44
_cell_length_a 3.812
_cell_length_b 4.345
_cell_length_c 8.107
_cell_angle_alpha 90.00
_cell_angle_beta 90.00
_cell_angle_gamma 90.00
loop_
_space_group_symop_operation_xyz
'x,y,z'
'-x,-y,z'
'-x,y,z'
'x,-y,z'
'x+1/2,y+1/2,z+1/2'
'-x+1/2,-y+1/2,z+1/2'
'-x+1/2,y+1/2,z+1/2'
'x+1/2,-y+1/2,z+1/2'
loop_
_atom_site_label
_atom_site_type_symbol
_atom_site_fract_x
_atom_site_fract_y
_atom_site_fract_z
Ta1 Ta 0.000 0.000 0.000
Ag1 Ag 0.000 0.000 0.526
Ag2 Ag 0.000 0.500 0.768
Ru1 Ru 0.000 0.500 0.290
```

Entry 4:
Diffraction record for Tc2AgRu. The powder XRD pattern is computed, not measured: it uses a GGA-PBE-relaxed structure and copper Kα.
Peak positions follow from Bragg's law for the DFT cell and can differ from measured ones.

Principal peaks in the range 10° ≤ 2θ ≤ 80°, low angle first:
two_theta  d [Å]  intensity  (hkl)
38.9  2.314  33  0 0 12
39.9  2.257  100  1 0 4
46.2  1.966  63  0 1 8
66.6  1.403  18  1 0 16
68.0  1.378  20  1 1 0
80.0  1.200  10  0 1 20

```
data_Tc2AgRu
_space_group_name_H-M_alt 'R 3 m'
_space_group_IT_number 160
_space_group_name_Hall 'R 3 -2"'
_cell_length_a 2.7556
_cell_length_b 2.7556
_cell_length_c 27.7644
_cell_angle_alpha 90.00
_cell_angle_beta 90.00
_cell_angle_gamma 120.00
loop_
_atom_site_label
_atom_site_type_symbol
_atom_site_fract_x
_atom_site_fract_y
_atom_site_fract_z
Tc1 Tc 0.0000 0.0000 0.0000
Tc2 Tc 0.0000 0.0000 0.2562
Ag1 Ag 0.0000 0.0000 0.7565
Ru1 Ru 0.0000 0.0000 0.5119
```